The following is a calculated X-ray diffraction stick pattern of CuHgSe2O6. It was derived from a cell relaxed with PBE, using Cu Kα X-rays.
Lines closer than 0.1° are merged.

Atomic structure:
```
data_CuHgSe2O6
_chemical_formula_sum 'Cu4 Hg4 Se8 O24'
_symmetry_space_group_name_H-M 'P 1 21/c 1'
_symmetry_Int_Tables_number 14
_symmetry_space_group_name_Hall '-P 2ybc'
_cell_length_a 7.7378
_cell_length_b 10.5737
_cell_length_c 7.5389
_cell_angle_alpha 90.00
_cell_angle_beta 94.84
_cell_angle_gamma 90.00
loop_
_atom_site_label
_atom_site_fract_x
_atom_site_fract_y
_atom_site_fract_z
Cu1 0.1835 0.0830 0.4811
Hg1 0.2393 0.0553 0.0101
Se1 0.0675 0.7190 0.7447
Se2 0.4514 0.6087 0.1891
O1 0.0381 0.6171 0.9199
O2 0.0502 0.6157 0.5630
O3 0.1361 0.2108 0.2876
O4 0.2916 0.0079 0.7063
O5 0.3670 0.0151 0.3416
O6 0.4957 0.6429 0.4125
```

Peak list (10 most intense, 2θ from 10° to 90°, in order of falling intensity)
2theta, d (Å), Rel. int., h k l
28.6, 3.117, 100, 2 2 0
23.1, 3.852, 99, 1 2 -1
27.8, 3.206, 82, 1 3 0
29.2, 3.062, 79, 0 2 2
14.5, 6.124, 64, 0 1 1
28.2, 3.166, 63, 2 1 1
37.5, 2.396, 62, 1 3 2
31.8, 2.811, 61, 2 0 -2
35.9, 2.500, 60, 3 1 0
16.8, 5.287, 56, 0 2 0